Li4AlZn2Sn: calculated X-ray diffraction stick pattern (Cu Kα), based on a crystal structure in OQMD, relaxed with PBE.
Neutral-atom scattering factors, no anomalous dispersion.

Structural model:
```
data_Li4AlZn2Sn
_cell_length_a 4.4305
_cell_length_b 4.4305
_cell_length_c 6.2864
_cell_angle_alpha 90.00
_cell_angle_beta 90.00
_cell_angle_gamma 90.00
_symmetry_space_group_name_H-M 'P -4 m 2'
_symmetry_Int_Tables_number 115
_symmetry_space_group_name_Hall 'P -4 -2'
loop_
_atom_site_label
_atom_site_type_symbol
_atom_site_fract_x
_atom_site_fract_y
_atom_site_fract_z
Li1 Li 0.0000 0.0000 0.0000
Li2 Li 0.0000 0.5000 0.2419
Li3 Li 0.5000 0.5000 0.5000
Al1 Al 0.5000 0.5000 0.0000
Zn1 Zn 0.0000 0.5000 0.7700
Sn1 Sn 0.0000 0.0000 0.5000
```

Largest 10 diffraction maxima, sorted by position, 2θ from 10° to 90°:
- 14.09°, intensity 12
- 20.04°, intensity 18
- 24.58°, intensity 96
- 31.92°, intensity 17
- 40.68°, intensity 100
- 48.03°, intensity 15
- 48.15°, intensity 31
- 58.96°, intensity 11
- 64.75°, intensity 12
- 74.09°, intensity 22